Diffraction record for CsRb3. The powder XRD pattern is simulated, not measured: it uses a cell relaxed with GGA-PBE and copper Kα.
Peak positions follow from Bragg's law for the DFT cell and can differ from measured ones.

Crystal structure
a b c (Å): 7.2838 7.2838 7.2838
angles (deg): 90.00 90.00 90.00
Fractional positions:
1 Cs 0.0000 0.0000 0.0000
2 Rb 0.0000 0.5000 0.5000
3 Rb 0.5000 0.0000 0.5000
4 Rb 0.5000 0.5000 0.0000

Top 10 peaks for 10 to 90 degrees two-theta, low angle first:
Position (°2θ)	I (rel.)
21.13	100.0
24.44	52.6
34.84	41.4
41.10	51.7
43.02	15.1
54.95	21.8
56.50	20.1
62.46	14.8
66.73	16.3
77.53	16.0